1.
# Pm13Nd3
Theoretical X-ray diffraction stick pattern, λ = 1.5418 Å (Cu Kα). Input: a cell relaxed with PBE.
Kinematic intensities with the Lorentz-polarization factor, no thermal factor.

Crystal structure
```
Pm13Nd3
1.0
7.3774 0.0000 0.0000
0.0000 5.9154 6.3862
0.0000 -5.9154 6.3862
Pm Nd
13 3
direct
0.0000 0.0000 0.0000
0.0000 0.4158 0.9173
0.0000 0.4994 0.4994
0.0000 0.9173 0.4158
0.2498 0.1671 0.6661
0.2500 0.2500 0.2500
0.2498 0.6661 0.1671
0.5000 0.4163 0.9169
0.5000 0.4994 0.4994
0.5000 0.9169 0.4163
0.7502 0.1671 0.6661
0.7500 0.2500 0.2500
0.7502 0.6661 0.1671
0.2498 0.7493 0.7493
0.5000 0.0000 0.0000
0.7502 0.7493 0.7493
```

Top 8 peaks for 2θ from 15° to 90°, by intensity:
two_theta, I (rel.)
31.84, 100
30.22, 25
27.94, 23
59.03, 23
54.71, 22
49.43, 20
60.01, 16
41.62, 16


2.
# Pm9Pr2Nd
Theoretical X-ray diffraction stick pattern, λ = 1.5418 Å (Cu Kα). Input: a cell relaxed with PBE.
Kinematic intensities with the Lorentz-polarization factor, no thermal factor.

Crystal structure
```
Pm9Pr2Nd
1.0
5.1770 0.0000 0.0000
0.0000 5.1770 0.0000
0.0000 0.0000 15.5333
Pm Pr Nd
9 2 1
direct
0.0000 0.0000 0.0000
0.0000 0.0000 0.3330
0.0000 0.0000 0.6670
0.0000 0.5000 0.1662
0.0000 0.5000 0.5000
0.0000 0.5000 0.8338
0.5000 0.0000 0.1662
0.5000 0.0000 0.5000
0.5000 0.0000 0.8338
0.5000 0.5000 0.3330
0.5000 0.5000 0.6670
0.5000 0.5000 0.0000
```

Top 8 peaks for 2θ from 15° to 90°, by intensity:
two_theta, I (rel.)
29.89, 100
34.65, 51
59.19, 43
49.82, 36
80.94, 18
83.51, 16
62.10, 12
73.11, 6


3.
# Pm5Pr4Nd
Theoretical X-ray diffraction stick pattern, λ = 1.5418 Å (Cu Kα). Input: a cell relaxed with PBE.
Kinematic intensities with the Lorentz-polarization factor, no thermal factor.

Crystal structure
```
Pm5Pr4Nd
1.0
10.8559 0.0000 0.0000
0.0000 10.8559 0.0000
0.0000 0.0000 5.9669
Pm Pr Nd
10 8 2
direct
0.0872 0.0872 0.1669
0.0872 0.4128 0.1669
0.2500 0.7500 0.0000
0.4128 0.0872 0.1669
0.4128 0.4128 0.1669
0.5872 0.5872 0.8331
0.5872 0.9128 0.8331
0.7500 0.2500 0.0000
0.9128 0.5872 0.8331
0.9128 0.9128 0.8331
0.0453 0.7500 0.3666
0.2500 0.5453 0.6334
0.2500 0.9547 0.6334
0.4547 0.7500 0.3666
0.5453 0.2500 0.6334
0.7500 0.0453 0.3666
0.7500 0.4547 0.3666
0.9547 0.2500 0.6334
0.2500 0.2500 0.6302
0.7500 0.7500 0.3698
```

Top 8 peaks for 2θ from 15° to 90°, by intensity:
two_theta, I (rel.)
28.86, 100
30.03, 45
31.09, 32
35.07, 31
52.10, 26
27.63, 21
59.15, 17
50.44, 16


4.
# Pm5PrNd4
Theoretical X-ray diffraction stick pattern, λ = 1.5418 Å (Cu Kα). Input: a cell relaxed with PBE.
Kinematic intensities with the Lorentz-polarization factor, no thermal factor.

Crystal structure
```
Pm5PrNd4
1.0
10.8155 0.0000 0.0000
0.0000 10.8155 0.0000
0.0000 0.0000 5.9590
Pm Pr Nd
10 2 8
direct
0.0863 0.0863 0.1704
0.0863 0.4137 0.1704
0.2500 0.7500 0.0000
0.4137 0.0863 0.1704
0.4137 0.4137 0.1704
0.5863 0.5863 0.8296
0.5863 0.9137 0.8296
0.7500 0.2500 0.0000
0.9137 0.5863 0.8296
0.9137 0.9137 0.8296
0.2500 0.2500 0.6369
0.7500 0.7500 0.3631
0.0465 0.7500 0.3653
0.2500 0.5465 0.6347
0.2500 0.9535 0.6347
0.4535 0.7500 0.3653
0.5465 0.2500 0.6347
0.7500 0.0465 0.3653
0.7500 0.4535 0.3653
0.9535 0.2500 0.6347
```

Top 8 peaks for 2θ from 15° to 90°, by intensity:
two_theta, I (rel.)
28.95, 100
30.13, 41
35.20, 31
31.14, 29
52.26, 24
27.72, 21
59.39, 18
50.64, 15


5.
# Pm15Pr4Nd
Theoretical X-ray diffraction stick pattern, λ = 1.5418 Å (Cu Kα). Input: a cell relaxed with PBE.
Kinematic intensities with the Lorentz-polarization factor, no thermal factor.

Crystal structure
```
Pm15Pr4Nd
1.0
5.1876 0.0000 0.0000
0.0000 5.1876 0.0000
0.0000 0.0000 25.8773
Pm Pr Nd
15 4 1
direct
0.0000 0.0000 0.0000
0.0000 0.0000 0.1999
0.0000 0.0000 0.4000
0.0000 0.0000 0.6000
0.0000 0.0000 0.8001
0.0000 0.5000 0.0997
0.0000 0.5000 0.3000
0.0000 0.5000 0.5000
0.0000 0.5000 0.7000
0.0000 0.5000 0.9003
0.5000 0.0000 0.0997
0.5000 0.0000 0.3000
0.5000 0.0000 0.5000
0.5000 0.0000 0.7000
0.5000 0.0000 0.9003
0.5000 0.5000 0.1999
0.5000 0.5000 0.4000
0.5000 0.5000 0.6000
0.5000 0.5000 0.8001
0.5000 0.5000 0.0000
```

Top 8 peaks for 2θ from 15° to 90°, by intensity:
two_theta, I (rel.)
29.86, 100
34.61, 51
49.75, 36
59.07, 29
80.82, 18
59.18, 14
62.02, 12
83.33, 11


6.
# Pm5Pr3Nd3
Theoretical X-ray diffraction stick pattern, λ = 1.5418 Å (Cu Kα). Input: a cell relaxed with PBE.
Kinematic intensities with the Lorentz-polarization factor, no thermal factor.

Crystal structure
```
Pm5Pr3Nd3
1.0
6.3667 0.0000 0.0000
-2.1155 7.9445 0.0000
-1.0682 -2.8407 7.6490
Pm Pr Nd
5 3 3
direct
0.0000 0.0000 0.0000
0.0903 0.3631 0.8187
0.1810 0.7268 0.6371
0.5452 0.1818 0.9095
0.9092 0.6358 0.1819
0.3632 0.4536 0.2720
0.4542 0.8180 0.0901
0.7272 0.9092 0.5478
0.2720 0.0904 0.4552
0.6365 0.5449 0.7289
0.8182 0.2731 0.3646
```

Top 8 peaks for 2θ from 15° to 90°, by intensity:
two_theta, I (rel.)
29.75, 100
34.49, 51
58.89, 43
49.57, 36
80.49, 16
83.03, 14
61.79, 13
72.73, 6


7.
# Pm8PrNd5
Theoretical X-ray diffraction stick pattern, λ = 1.5418 Å (Cu Kα). Input: a cell relaxed with PBE.
Kinematic intensities with the Lorentz-polarization factor, no thermal factor.

Crystal structure
```
Pm8PrNd5
1.0
-4.8754 4.8754 5.2204
4.8754 -4.8754 5.2204
4.8754 4.8754 -5.2204
Pm Pr Nd
8 1 5
direct
0.0764 0.6764 0.7628
0.1771 0.2816 0.7519
0.3236 0.0863 0.4000
0.5297 0.4252 0.2481
0.5748 0.8229 0.1045
0.6863 0.9236 0.6000
0.7184 0.4703 0.8955
0.9137 0.3137 0.2372
0.0000 0.0000 0.0000
0.2155 0.6135 0.1823
0.3865 0.5688 0.6020
0.4312 0.0332 0.8177
0.7500 0.2500 0.5000
0.9668 0.7845 0.3980
```

Top 8 peaks for 2θ from 15° to 90°, by intensity:
two_theta, I (rel.)
32.93, 100
28.96, 80
28.77, 66
27.21, 60
34.25, 49
33.76, 43
31.09, 25
61.16, 21


8.
# Pm6Pr5Nd2
Theoretical X-ray diffraction stick pattern, λ = 1.5418 Å (Cu Kα). Input: a cell relaxed with PBE.
Kinematic intensities with the Lorentz-polarization factor, no thermal factor.

Crystal structure
```
Pm6Pr5Nd2
1.0
11.9721 0.0000 0.0000
0.0000 21.0332 0.0000
0.0000 0.0000 3.6839
Pm Pr Nd
12 10 4
direct
0.0623 0.0766 0.0000
0.0765 0.3653 0.0000
0.1802 0.6314 0.5000
0.3198 0.1314 0.5000
0.4235 0.8653 0.0000
0.4377 0.5766 0.0000
0.5623 0.4234 0.0000
0.5765 0.1347 0.0000
0.6802 0.8686 0.5000
0.8198 0.3686 0.5000
0.9235 0.6347 0.0000
0.9377 0.9234 0.0000
0.0000 0.5000 0.5000
0.0823 0.2218 0.5000
0.1996 0.9450 0.5000
0.3004 0.4450 0.5000
0.4177 0.7218 0.5000
0.5000 0.0000 0.5000
0.5823 0.2782 0.5000
0.6996 0.5550 0.5000
0.8004 0.0550 0.5000
0.9177 0.7782 0.5000
0.1755 0.7836 0.0000
0.3245 0.2836 0.0000
0.6755 0.7164 0.0000
0.8245 0.2164 0.0000
```

Top 8 peaks for 2θ from 15° to 90°, by intensity:
two_theta, I (rel.)
31.23, 100
30.68, 71
30.16, 71
30.56, 54
33.25, 45
35.55, 33
34.04, 28
49.48, 24


9.
# Pm2PrNd12
Theoretical X-ray diffraction stick pattern, λ = 1.5418 Å (Cu Kα). Input: a cell relaxed with PBE.
Kinematic intensities with the Lorentz-polarization factor, no thermal factor.

Crystal structure
```
Pm2PrNd12
1.0
3.6212 -5.8567 0.0000
3.6212 5.8567 0.0000
0.0000 0.0000 25.2732
Pm Pr Nd
4 2 24
direct
0.2500 0.7500 0.2320
0.2500 0.7500 0.7740
0.7500 0.2500 0.2260
0.7500 0.2500 0.7680
0.2500 0.7500 0.5012
0.7500 0.2500 0.4988
0.0021 0.5021 0.6302
0.0026 0.9974 0.4241
0.0207 0.5207 0.0822
0.0248 0.9752 0.9405
0.2500 0.2500 0.1734
0.2500 0.2500 0.2999
0.2500 0.2500 0.7001
0.2500 0.2500 0.8266
0.4752 0.5248 0.9405
0.4793 0.9793 0.0822
0.4974 0.5026 0.4241
0.4979 0.9979 0.6302
0.5021 0.0021 0.3698
0.5026 0.4974 0.5759
0.5207 0.0207 0.9178
0.5248 0.4752 0.0595
0.7500 0.7500 0.1734
0.7500 0.7500 0.2999
0.7500 0.7500 0.7001
0.7500 0.7500 0.8266
0.9752 0.0248 0.0595
0.9793 0.4793 0.9178
0.9974 0.0026 0.5759
0.9979 0.4979 0.3698
```

Top 8 peaks for 2θ from 15° to 90°, by intensity:
two_theta, I (rel.)
29.86, 100
30.53, 99
29.05, 76
32.19, 71
32.34, 59
36.13, 54
30.91, 32
56.93, 32


10.
# Pm5PrNd3
Theoretical X-ray diffraction stick pattern, λ = 1.5418 Å (Cu Kα). Input: a cell relaxed with PBE.
Kinematic intensities with the Lorentz-polarization factor, no thermal factor.

Crystal structure
```
Pm5PrNd3
1.0
9.0530 -4.7795 0.0000
9.0530 4.7795 0.0000
0.0000 0.0000 7.3163
Pm Pr Nd
10 2 6
direct
0.0130 0.6602 0.9999
0.0130 0.6602 0.5001
0.1782 0.8218 0.7500
0.3398 0.9870 0.9999
0.3398 0.9870 0.5001
0.6602 0.0130 0.0001
0.6602 0.0130 0.4999
0.8218 0.1782 0.2500
0.9870 0.3398 0.0001
0.9870 0.3398 0.4999
0.1831 0.8169 0.2500
0.8169 0.1831 0.7500
0.3168 0.3174 0.2500
0.3174 0.3168 0.7500
0.5000 0.5000 0.0000
0.5000 0.5000 0.5000
0.6826 0.6832 0.2500
0.6832 0.6826 0.7500
```

Top 8 peaks for 2θ from 15° to 90°, by intensity:
two_theta, I (rel.)
30.06, 100
29.60, 63
28.44, 63
32.37, 60
37.60, 36
56.40, 31
36.76, 29
49.85, 20


11.
# Pm10PrNd4
Theoretical X-ray diffraction stick pattern, λ = 1.5418 Å (Cu Kα). Input: a cell relaxed with PBE.
Kinematic intensities with the Lorentz-polarization factor, no thermal factor.

Crystal structure
```
Pm10PrNd4
1.0
-5.0061 5.0061 5.5666
5.0061 -5.0061 5.5666
5.0061 5.0061 -5.5666
Pm Pr Nd
10 1 4
direct
0.0484 0.9457 0.6559
0.0543 0.7101 0.1027
0.2500 0.7500 0.5000
0.2899 0.3925 0.3441
0.3925 0.0484 0.1027
0.6075 0.9516 0.8973
0.7101 0.6075 0.6559
0.7500 0.2500 0.5000
0.9457 0.2899 0.8973
0.9516 0.0543 0.3441
0.0000 0.0000 0.0000
0.2144 0.5586 0.7730
0.4414 0.2144 0.6558
0.5586 0.7856 0.3442
0.7856 0.4414 0.2270
```

Top 8 peaks for 2θ from 15° to 90°, by intensity:
two_theta, I (rel.)
31.31, 100
28.19, 77
32.53, 41
40.28, 28
25.60, 25
40.58, 23
57.58, 21
27.91, 14